# 1
SnTePd3: simulated PXRD pattern (Cu Kα (weighted mean of Kα1 and Kα2)), based on DFT lattice parameters and positions (PBE).
Peak positions follow from Bragg's law for the DFT cell and can differ from measured ones.

Atomic structure:
a = 4.437 Å, b = 8.359 Å, c = 5.551 Å
α = 90.00°, β = 90.00°, γ = 90.00°
Space group Pmc2_1 (No. 26)
Asymmetric unit:
1 Sn 0.000 0.126 0.000 x2
2 Te 0.500 0.371 0.401 x2
3 Pd 0.000 0.208 0.524 x2
4 Pd 0.500 0.047 0.267 x2
5 Pd 0.500 0.296 0.883 x2

Largest 10 diffraction maxima, sorted by position, 15° ≤ 2θ ≤ 90°:
Position (°2θ)  I/Imax  index
22.69  35  1 1 0
32.25  35  0 0 2
38.14  98  1 3 0
38.25  91  1 0 2
39.80  68  1 1 2
40.67  79  2 0 0
41.59  100  1 3 1
46.16  27  0 3 2
72.37  29  3 3 0
83.83  28  2 6 1

=====

# 2
K2NaBP2: simulated PXRD pattern (Cu Kα (weighted mean of Kα1 and Kα2)), based on DFT lattice parameters and positions (PBE).
Peak positions follow from Bragg's law for the DFT cell and can differ from measured ones.

Atomic structure:
a = 12.672 Å, b = 5.009 Å, c = 12.147 Å
α = 90.00°, β = 120.73°, γ = 90.00°
Space group C2/m (No. 12)
Asymmetric unit:
1 K 0.017 0.000 0.179 x4
2 K 0.177 0.000 0.591 x4
3 Na 0.203 0.500 0.867 x4
4 B 0.000 0.500 0.000 x2
5 B 0.000 0.500 0.500 x2
6 P 0.032 0.500 0.373 x4
7 P 0.163 0.500 0.088 x4

Largest 10 diffraction maxima, sorted by position, 15° ≤ 2θ ≤ 90°:
Position (°2θ)  I/Imax  index
27.93  100  3 1 -1
28.17  24  4 0 -2
28.64  48  1 1 2
28.77  96  1 1 -3
29.40  26  4 0 -1
30.63  69  3 1 -3
34.35  26  0 0 4
34.96  65  3 1 1
35.85  70  0 2 0
45.87  26  5 1 -5

=====

# 3
Sm2Th3Ir2: simulated PXRD pattern (Cu Kα (weighted mean of Kα1 and Kα2)), based on DFT lattice parameters and positions (PBE).
Peak positions follow from Bragg's law for the DFT cell and can differ from measured ones.

Atomic structure:
a = 11.923 Å, b = 3.895 Å, c = 9.079 Å
α = 90.00°, β = 110.49°, γ = 90.00°
Space group C2/m (No. 12)
Asymmetric unit:
1 Sm 0.161 0.000 0.297 x4
2 Th 0.000 0.500 0.500 x2
3 Th 0.122 0.500 0.936 x4
4 Ir 0.141 0.000 0.713 x4

Largest 10 diffraction maxima, sorted by position, 15° ≤ 2θ ≤ 90°:
Position (°2θ)  I/Imax  index
15.64  59  2 0 -1
29.96  56  2 0 -3
30.24  45  1 1 -2
32.25  49  3 1 -1
34.02  100  1 1 2
34.64  66  3 1 -2
37.52  35  3 1 1
37.77  42  1 1 -3
46.64  38  0 2 0
59.23  36  7 1 -2